This entry pairs a crystal structure of Pm5Nd8Bi with its theoretical X-ray powder pattern. Radiation: Cu Kα, 1.54184 Å. Structure: a DFT-relaxed cell (GGA-PBE, Alexandria).
Peak positions follow from Bragg's law for the DFT cell and can differ from measured ones.

The 12 most intense peaks (15 to 90 degrees two-theta), sorted by position:
2θ (°)  d (Å)  I (rel.)
22.59  3.936  16
24.76  3.595  20
25.69  3.468  22
29.79  2.999  43
30.06  2.972  22
30.19  2.960  44
31.48  2.842  76
32.04  2.793  100
32.19  2.781  32
34.26  2.617  21
50.18  1.818  17
57.82  1.595  17

Crystal structure
```
Pm5Nd8Bi
1.0
6.5960 -5.5986 0.0000
6.5960 5.5986 0.0000
-6.5635 0.0000 6.6430
Pm Nd Bi
5 8 1
Direct
0.0000 0.0000 0.0000
0.3085 0.3045 0.6557
0.6093 0.2331 0.1391
0.6955 0.6915 0.3443
0.7669 0.3907 0.8609
0.0544 0.4800 0.3329
0.0891 0.0844 0.7433
0.2360 0.6035 0.1379
0.3965 0.7640 0.8621
0.4823 0.0502 0.3323
0.5200 0.9456 0.6671
0.9156 0.9109 0.2567
0.9498 0.5177 0.6677
0.5025 0.4975 0.5000
```